Entry 1:
The following is a calculated powder XRD pattern of CaPBrO8. It was derived from a structure optimized by DFT (GGA-PBE), using CuKα.
Kinematic intensities with the Lorentz-polarization factor, no thermal factor.

abc: 19.855 6.159 7.064
angles: 90.00 100.94 90.00
Space group C2/c (No. 15)
Unique sites:
Ca: 0.000 0.159 0.250
P: 0.000 0.352 0.750
Br: 0.250 0.250 0.500
O: 0.000 0.196 0.577
O: 0.063 0.497 0.281
O: 0.168 0.169 0.196
O: 0.168 0.279 0.052

Principal peaks in the range 2θ from 10° to 90°, by angle:
2theta  d_spacing  I/Imax  index
18.20  4.874  100.0  4 0 0
19.24  4.614  23.5  1 1 -1
22.21  4.003  77.6  3 1 -1
25.58  3.483  29.7  2 0 -2
28.06  3.180  48.5  5 1 -1
28.95  3.084  71.2  2 0 2
31.85  2.810  31.7  5 1 1
34.45  2.603  24.3  4 2 0
35.52  2.528  18.6  7 1 -1
41.56  2.173  21.5  3 1 -3

=====

Entry 2:
The following is a calculated powder XRD pattern of Pr12Re5C15. It was derived from a structure optimized by DFT (GGA-PBE), using CuKα.
Kinematic intensities with the Lorentz-polarization factor, no thermal factor.

abc: 11.0926 11.0926 5.4023
angles: 90.00 90.00 120.00
Space group P-62m (No. 189)
Unique sites:
Pr: 0.0000 0.4236 0.0000
Pr: 0.0000 0.7956 0.0000
Pr: 0.1875 0.7298 0.5000
Re: 0.0000 0.1542 0.5000
Re: 0.3333 0.6667 0.0000
C: 0.0000 0.3290 0.5000
C: 0.0000 0.4511 0.5000
C: 0.0000 0.7951 0.5000
C: 0.1928 0.7183 0.0000

Principal peaks in the range 2θ from 10° to 90°, by angle:
2theta  d_spacing  I/Imax  index
18.85  4.709  10.6  1 0 1
29.64  3.014  100.0  2 1 1
32.50  2.755  25.6  3 0 1
33.17  2.701  40.9  0 0 2
33.64  2.664  42.7  3 1 0
36.42  2.467  17.9  2 2 1
37.64  2.390  8.8  3 1 1
47.96  1.897  31.4  3 1 2
57.09  1.613  16.4  2 1 3
66.08  1.414  9.2  6 1 1

=====

Entry 3:
The following is a calculated powder XRD pattern of NdZrO3. It was derived from a structure optimized by DFT (GGA-PBE), using CuKα.
Kinematic intensities with the Lorentz-polarization factor, no thermal factor.

abc: 8.330 8.248 5.631
angles: 90.00 132.33 90.00
Space group C2/m (No. 12)
Unique sites:
Nd: 0.244 0.000 0.031
Zr: 0.250 0.250 0.500
O: 0.000 0.180 0.000
O: 0.000 0.322 0.500
O: 0.244 0.000 0.611

Principal peaks in the range 2θ from 10° to 90°, by angle:
2theta  d_spacing  I/Imax  index
29.00  3.079  28.4  2 0 0
30.54  2.927  100.0  0 2 1
31.78  2.816  16.6  2 0 -2
43.48  2.081  13.1  0 0 2
43.64  2.074  11.8  4 0 -2
43.91  2.062  11.4  0 4 0
52.32  1.748  11.3  2 2 1
52.43  1.745  10.7  4 2 -1
53.48  1.713  13.8  2 4 0
55.85  1.646  16.3  2 2 -3

=====

Entry 4:
The following is a calculated powder XRD pattern of RbTh3F13. It was derived from a structure optimized by DFT (GGA-PBE), using CuKα.
Kinematic intensities with the Lorentz-polarization factor, no thermal factor.

abc: 8.050 7.132 8.870
angles: 90.00 90.00 90.00
Space group Pmc2_1 (No. 26)
Unique sites:
Rb: 0.000 0.022 0.000
Th: 0.256 0.478 0.268
Th: 0.500 0.014 0.645
F: 0.000 0.320 0.325
F: 0.000 0.347 0.755
F: 0.187 0.432 0.013
F: 0.260 0.158 0.220
F: 0.277 0.234 0.632
F: 0.346 0.049 0.940
F: 0.500 0.335 0.404
F: 0.500 0.336 0.801
F: 0.500 0.365 0.124

Principal peaks in the range 2θ from 10° to 90°, by angle:
2theta  d_spacing  I/Imax  index
10.99  8.050  25.7  1 0 0
20.02  4.435  35.8  0 0 2
23.62  3.766  77.1  0 1 2
24.97  3.566  54.4  0 2 0
25.41  3.505  100.0  2 1 0
29.98  2.980  34.1  2 0 2
32.56  2.750  30.9  2 1 2
39.40  2.287  44.4  2 2 2
42.70  2.117  22.9  0 1 4
44.25  2.047  43.6  2 3 0

=====

Entry 5:
The following is a calculated powder XRD pattern of CeThO4. It was derived from a structure optimized by DFT (GGA-PBE), using CuKα.
Kinematic intensities with the Lorentz-polarization factor, no thermal factor.

abc: 3.920 3.920 5.542
angles: 90.00 90.00 90.00
Space group P4/mmm (No. 123)
Unique sites:
Ce: 0.000 0.000 0.000
Th: 0.500 0.500 0.500
O: 0.000 0.500 0.246

Principal peaks in the range 2θ from 10° to 90°, by angle:
2theta  d_spacing  I/Imax  index
15.99  5.542  4.3  0 0 1
27.88  3.201  100.0  1 0 1
32.30  2.772  33.8  1 1 0
46.32  1.960  52.0  2 0 0
54.93  1.671  46.6  2 1 1
57.60  1.600  9.8  2 0 2
67.60  1.386  8.1  2 2 0
74.63  1.272  19.0  3 0 1
76.91  1.240  13.4  3 1 0
85.89  1.132  17.0  3 1 2

=====

Entry 6:
The following is a calculated powder XRD pattern of TiZnF5. It was derived from a structure optimized by DFT (GGA-PBE), using CuKα.
Kinematic intensities with the Lorentz-polarization factor, no thermal factor.

abc: 8.691 6.418 7.552
angles: 90.00 115.77 90.00
Space group C2/c (No. 15)
Unique sites:
Ti: 0.000 0.000 0.000
Zn: 0.000 0.479 0.250
F: 0.000 0.125 0.250
F: 0.012 0.306 0.955
F: 0.244 0.024 0.628

Principal peaks in the range 2θ from 10° to 90°, by angle:
2theta  d_spacing  I/Imax  index
22.72  3.913  88.6  2 0 0
27.40  3.255  100.0  1 1 -2
27.80  3.209  42.3  0 2 0
35.89  2.502  16.3  3 1 -2
46.41  1.957  28.0  4 0 0
48.20  1.888  19.2  2 0 -4
48.93  1.861  36.6  1 3 -2
54.60  1.681  21.2  1 3 2
54.74  1.677  25.6  5 1 -2
69.73  1.349  21.1  3 3 2